(1)
Calculated powder XRD pattern
Compound: Sm7SI12
Radiation: CuKα
Structure: a DFT-relaxed cell (GGA-PBE, Alexandria)
Kinematic intensities with the Lorentz-polarization factor, no thermal factor.

abc: 15.8501 15.8501 10.5011
angles: 90.00 90.00 120.00
Space group R-3 (No. 148, hexagonal axes)
Symmetry-distinct sites (fractional):
1 Sm 0.0000 0.0000 0.0000 x3
2 Sm 0.0433 0.8876 0.3525 x18
3 S 0.0000 0.0000 0.5000 x3
4 I 0.0232 0.4372 0.1639 x18
5 I 0.0518 0.8660 0.8371 x18

Top 12 peaks for 2θ from 5° to 70°, sorted by position:
2θ = 11.16°, I = 18.9, hkl 1 1 0
2θ = 24.88°, I = 13.5, hkl 1 3 1
2θ = 27.86°, I = 12.0, hkl 1 1 3
2θ = 28.97°, I = 100.0, hkl 4 -1 2
2θ = 33.75°, I = 7.2, hkl 0 5 1
2θ = 35.65°, I = 7.7, hkl 2 4 1
2θ = 41.06°, I = 35.3, hkl 5 2 0
2θ = 41.80°, I = 35.0, hkl 1 3 4
2θ = 51.03°, I = 17.4, hkl 2 6 2
2θ = 60.03°, I = 11.1, hkl 8 -2 4
2θ = 67.49°, I = 12.7, hkl 9 1 2
2θ = 68.53°, I = 13.3, hkl 5 2 6

=====

(2)
Calculated powder XRD pattern
Compound: Tm3TePb2
Radiation: CuKα
Structure: a DFT-relaxed cell (GGA-PBE, Alexandria)
Kinematic intensities with the Lorentz-polarization factor, no thermal factor.

abc: 6.181 18.596 6.190
angles: 90.00 90.00 90.00
Space group Cmmm (No. 65)
Symmetry-distinct sites (fractional):
1 Tm 0.000 0.000 0.000 x2
2 Tm 0.000 0.165 0.500 x4
3 Tm 0.000 0.333 0.000 x4
4 Tm 0.000 0.500 0.500 x2
5 Te 0.000 0.332 0.500 x4
6 Pb 0.000 0.000 0.500 x2
7 Pb 0.000 0.167 0.000 x4
8 Pb 0.000 0.500 0.000 x2

Top 10 peaks for 2θ from 5° to 70°, sorted by position:
2θ = 14.31°, I = 0.9, hkl 0 0 1
2θ = 20.29°, I = 0.9, hkl 1 3 0
2θ = 28.85°, I = 100.0, hkl 2 0 0
2θ = 32.34°, I = 0.6, hkl 0 6 1
2θ = 41.25°, I = 77.3, hkl 2 6 0
2θ = 51.12°, I = 27.8, hkl 2 6 2
2θ = 59.71°, I = 8.8, hkl 0 0 4
2θ = 59.85°, I = 4.4, hkl 4 0 0
2θ = 67.64°, I = 18.2, hkl 0 6 4
2θ = 67.75°, I = 18.1, hkl 4 6 0

=====

(3)
Calculated powder XRD pattern
Compound: NaCa2W
Radiation: CuKα
Structure: a DFT-relaxed cell (GGA-PBE, Alexandria)
Kinematic intensities with the Lorentz-polarization factor, no thermal factor.

abc: 7.664 7.664 7.664
angles: 90.00 90.00 90.00
Space group Fm-3m (No. 225)
Symmetry-distinct sites (fractional):
1 Na 0.000 0.000 0.000 x4
2 Ca 0.250 0.250 0.250 x8
3 W 0.000 0.000 0.500 x4

Top 11 peaks for 2θ from 5° to 70°, sorted by position:
2θ = 20.07°, I = 65.7, hkl 1 1 1
2θ = 23.21°, I = 20.0, hkl 2 0 0
2θ = 33.06°, I = 100.0, hkl 2 2 0
2θ = 38.98°, I = 37.2, hkl 3 1 1
2θ = 40.78°, I = 6.7, hkl 2 2 2
2θ = 47.45°, I = 17.8, hkl 4 0 0
2θ = 52.01°, I = 16.6, hkl 3 3 1
2θ = 53.47°, I = 9.7, hkl 4 2 0
2θ = 59.05°, I = 36.2, hkl 4 2 2
2θ = 63.02°, I = 12.6, hkl 5 1 1
2θ = 69.36°, I = 11.0, hkl 4 4 0

=====

(4)
Calculated powder XRD pattern
Compound: Tb6Dy3Sc
Radiation: CuKα
Structure: a DFT-relaxed cell (GGA-PBE, Alexandria)
Kinematic intensities with the Lorentz-polarization factor, no thermal factor.

abc: 10.878 18.886 6.157
angles: 90.00 90.00 90.00
Space group Cmc2_1 (No. 36)
Symmetry-distinct sites (fractional):
1 Tb 0.000 0.047 0.000 x4
2 Tb 0.000 0.277 0.723 x4
3 Tb 0.165 0.454 0.620 x8
4 Tb 0.240 0.289 0.435 x8
5 Dy 0.000 0.388 0.148 x4
6 Dy 0.165 0.111 0.536 x8
7 Sc 0.000 0.204 0.207 x4

Top 12 peaks for 2θ from 5° to 70°, sorted by position:
2θ = 28.39°, I = 21.0, hkl 3 3 0
2θ = 28.96°, I = 55.6, hkl 0 0 2
2θ = 30.54°, I = 22.2, hkl 0 2 2
2θ = 31.95°, I = 100.0, hkl 0 6 1
2θ = 33.44°, I = 9.1, hkl 2 0 2
2θ = 34.30°, I = 15.5, hkl 3 5 0
2θ = 34.80°, I = 24.8, hkl 2 2 2
2θ = 37.36°, I = 8.3, hkl 4 2 1
2θ = 50.26°, I = 14.8, hkl 3 9 0
2θ = 51.35°, I = 14.7, hkl 6 2 0
2θ = 59.09°, I = 11.9, hkl 6 0 2
2θ = 60.85°, I = 8.9, hkl 6 6 1

=====

(5)
Calculated powder XRD pattern
Compound: AcHgPd2Pb2
Radiation: CuKα
Structure: a DFT-relaxed cell (GGA-PBE, Alexandria)
Kinematic intensities with the Lorentz-polarization factor, no thermal factor.

abc: 5.530 5.530 11.417
angles: 90.00 90.00 90.00
Space group I4/mmm (No. 139)
Symmetry-distinct sites (fractional):
1 Ac 0.000 0.000 0.000 x2
2 Hg 0.000 0.000 0.500 x2
3 Pd 0.000 0.000 0.261 x4
4 Pb 0.000 0.500 0.250 x4

Top 12 peaks for 2θ from 5° to 70°, sorted by position:
2θ = 15.52°, I = 11.3, hkl 0 0 2
2θ = 22.74°, I = 11.8, hkl 1 1 0
2θ = 27.65°, I = 100.0, hkl 1 1 2
2θ = 31.34°, I = 52.7, hkl 0 0 4
2θ = 32.38°, I = 98.3, hkl 2 0 0
2θ = 45.68°, I = 75.7, hkl 2 0 4
2θ = 46.44°, I = 36.6, hkl 2 2 0
2θ = 53.56°, I = 18.0, hkl 1 1 6
2θ = 54.91°, I = 31.9, hkl 3 1 2
2θ = 57.10°, I = 39.4, hkl 2 2 4
2θ = 65.39°, I = 6.3, hkl 0 0 8
2θ = 67.78°, I = 12.0, hkl 4 0 0

=====

(6)
Calculated powder XRD pattern
Compound: InSb2Au6
Radiation: CuKα
Structure: a DFT-relaxed cell (GGA-PBE, Alexandria)
Kinematic intensities with the Lorentz-polarization factor, no thermal factor.

abc: 13.847 15.566 7.775
angles: 90.00 90.00 90.00
Space group Fdd2 (No. 43)
Symmetry-distinct sites (fractional):
1 In 0.000 0.000 0.000 x8
2 Sb 0.068 0.245 0.837 x16
3 Au 0.054 0.423 0.834 x16
4 Au 0.075 0.343 0.159 x16
5 Au 0.094 0.336 0.515 x16

Top 12 peaks for 2θ from 5° to 70°, sorted by position:
2θ = 21.57°, I = 27.6, hkl 1 3 1
2θ = 26.28°, I = 16.3, hkl 2 4 0
2θ = 28.22°, I = 100.0, hkl 4 2 0
2θ = 31.62°, I = 25.3, hkl 1 5 1
2θ = 35.72°, I = 60.4, hkl 1 1 3
2θ = 36.68°, I = 50.2, hkl 3 5 1
2θ = 40.33°, I = 51.3, hkl 3 1 3
2θ = 41.90°, I = 98.0, hkl 0 6 2
2θ = 42.80°, I = 19.6, hkl 1 7 1
2θ = 45.35°, I = 15.5, hkl 5 5 1
2θ = 48.46°, I = 16.0, hkl 5 1 3
2θ = 51.40°, I = 16.0, hkl 5 3 3

=====

(7)
Calculated powder XRD pattern
Compound: DyThRe4
Radiation: CuKα
Structure: a DFT-relaxed cell (GGA-PBE, Alexandria)
Kinematic intensities with the Lorentz-polarization factor, no thermal factor.

abc: 5.4124 5.4124 9.1306
angles: 90.00 90.00 120.00
Space group P-3m1 (No. 164)
Symmetry-distinct sites (fractional):
1 Dy 0.3333 0.6667 0.4368 x2
2 Th 0.3333 0.6667 0.0598 x2
3 Re 0.0000 0.0000 0.0000 x1
4 Re 0.0000 0.0000 0.5000 x1
5 Re 0.1703 0.3405 0.7414 x6

Top 12 peaks for 2θ from 5° to 70°, sorted by position:
2θ = 33.10°, I = 27.3, hkl 1 1 0
2θ = 35.16°, I = 69.2, hkl 1 0 3
2θ = 38.41°, I = 9.9, hkl 2 0 0
2θ = 38.68°, I = 100.0, hkl 1 1 2
2θ = 39.48°, I = 20.7, hkl 0 0 4
2θ = 39.71°, I = 81.6, hkl 0 2 1
2θ = 43.40°, I = 18.1, hkl 0 2 2
2θ = 44.13°, I = 10.9, hkl 0 1 4
2θ = 60.46°, I = 26.4, hkl 1 2 3
2θ = 62.87°, I = 24.7, hkl 3 0 2
2θ = 64.71°, I = 32.8, hkl 2 0 5
2θ = 69.47°, I = 27.7, hkl 2 2 0

=====

(8)
Calculated powder XRD pattern
Compound: CsAcGeTe3
Radiation: CuKα
Structure: a DFT-relaxed cell (GGA-PBE, Alexandria)
Kinematic intensities with the Lorentz-polarization factor, no thermal factor.

abc: 9.970 4.558 12.752
angles: 90.00 109.54 90.00
Space group P2_1/m (No. 11)
Symmetry-distinct sites (fractional):
1 Cs 0.248 0.250 0.206 x2
2 Ac 0.151 0.750 0.659 x2
3 Ge 0.386 0.250 0.944 x2
4 Te 0.102 0.750 0.389 x2
5 Te 0.196 0.750 0.931 x2
6 Te 0.411 0.250 0.739 x2

Top 12 peaks for 2θ from 5° to 70°, sorted by position:
2θ = 9.82°, I = 99.9, hkl 1 0 -1
2θ = 23.93°, I = 38.7, hkl 1 1 1
2θ = 26.52°, I = 43.9, hkl 2 1 -1
2θ = 27.26°, I = 100.0, hkl 2 1 0
2θ = 27.99°, I = 79.9, hkl 1 0 -4
2θ = 31.01°, I = 24.6, hkl 2 1 -3
2θ = 33.45°, I = 55.6, hkl 3 1 -1
2θ = 39.25°, I = 30.6, hkl 3 1 -4
2θ = 39.54°, I = 34.0, hkl 0 2 0
2θ = 39.69°, I = 37.0, hkl 1 1 4
2θ = 48.51°, I = 21.1, hkl 4 1 -5
2θ = 49.14°, I = 32.4, hkl 1 2 -4

=====

(9)
Calculated powder XRD pattern
Compound: H3Au2Se4
Radiation: CuKα
Structure: a DFT-relaxed cell (GGA-PBE, Alexandria)
Kinematic intensities with the Lorentz-polarization factor, no thermal factor.

abc: 6.747 7.242 8.458
angles: 74.09 80.17 88.72
Space group P-1 (No. 2)
Symmetry-distinct sites (fractional):
1 H 0.147 0.216 0.080 x2
2 H 0.159 0.685 0.070 x2
3 H 0.333 0.415 0.659 x2
4 Au 0.046 0.359 0.412 x2
5 Au 0.487 0.758 0.759 x2
6 Se 0.173 0.098 0.251 x2
7 Se 0.206 0.529 0.777 x2
8 Se 0.345 0.225 0.536 x2
9 Se 0.358 0.783 0.048 x2

Top 12 peaks for 2θ from 5° to 70°, sorted by position:
2θ = 11.04°, I = 42.9, hkl 0 0 1
2θ = 14.38°, I = 48.5, hkl 0 1 1
2θ = 15.80°, I = 32.3, hkl 1 0 1
2θ = 18.71°, I = 43.1, hkl 1 1 0
2θ = 19.04°, I = 100.0, hkl 0 1 -1
2θ = 21.98°, I = 31.1, hkl 1 -1 1
2θ = 24.58°, I = 33.9, hkl 1 1 -1
2θ = 33.38°, I = 50.3, hkl -1 2 2
2θ = 37.30°, I = 49.3, hkl -1 1 3
2θ = 39.41°, I = 32.2, hkl 1 3 1
2θ = 43.15°, I = 34.1, hkl 3 0 2
2θ = 50.38°, I = 30.3, hkl 2 2 -2

=====

(10)
Calculated powder XRD pattern
Compound: Ag3SbS2
Radiation: CuKα
Structure: a DFT-relaxed cell (GGA-PBE, Alexandria)
Kinematic intensities with the Lorentz-polarization factor, no thermal factor.

abc: 14.994 4.398 8.496
angles: 90.00 100.73 90.00
Space group C2/m (No. 12)
Symmetry-distinct sites (fractional):
1 Ag 0.013 0.000 0.271 x4
2 Ag 0.199 0.500 0.547 x4
3 Ag 0.228 0.000 0.858 x4
4 Sb 0.111 0.500 0.903 x4
5 S 0.094 0.500 0.185 x4
6 S 0.126 0.000 0.563 x4

Top 12 peaks for 2θ from 5° to 70°, sorted by position:
2θ = 22.44°, I = 63.5, hkl 2 0 -2
2θ = 23.13°, I = 29.7, hkl 1 1 -1
2θ = 27.22°, I = 62.8, hkl 3 1 0
2θ = 29.30°, I = 71.2, hkl 1 1 -2
2θ = 30.53°, I = 32.8, hkl 3 1 1
2θ = 32.58°, I = 40.3, hkl 3 1 -2
2θ = 36.60°, I = 100.0, hkl 2 0 3
2θ = 36.92°, I = 41.3, hkl 3 1 2
2θ = 39.70°, I = 75.0, hkl 5 1 -2
2θ = 39.95°, I = 54.2, hkl 5 1 1
2θ = 41.04°, I = 71.6, hkl 0 2 0
2θ = 56.14°, I = 35.3, hkl 2 2 3

=====

(11)
Calculated powder XRD pattern
Compound: Fe2P2Pd
Radiation: CuKα
Structure: a DFT-relaxed cell (GGA-PBE, Alexandria)
Kinematic intensities with the Lorentz-polarization factor, no thermal factor.

abc: 6.585 6.585 2.677
angles: 90.00 90.00 90.00
Space group P4/mbm (No. 127)
Symmetry-distinct sites (fractional):
1 Fe 0.140 0.360 0.000 x4
2 P 0.151 0.651 0.500 x4
3 Pd 0.000 0.000 0.500 x2

Top 12 peaks for 2θ from 5° to 70°, sorted by position:
2θ = 19.06°, I = 14.0, hkl 1 1 0
2θ = 27.08°, I = 18.3, hkl 2 0 0
2θ = 30.35°, I = 11.3, hkl 2 1 0
2θ = 38.68°, I = 23.0, hkl 2 2 0
2θ = 38.80°, I = 59.2, hkl 1 1 1
2θ = 43.46°, I = 100.0, hkl 3 1 0
2θ = 43.58°, I = 29.0, hkl 2 0 1
2θ = 45.81°, I = 71.6, hkl 2 1 1
2θ = 52.06°, I = 16.5, hkl 2 2 1
2θ = 55.94°, I = 14.2, hkl 3 1 1
2θ = 63.14°, I = 15.4, hkl 4 2 0
2θ = 66.70°, I = 17.2, hkl 4 0 1

=====

(12)
Calculated powder XRD pattern
Compound: Cr2H2Rh3
Radiation: CuKα
Structure: a DFT-relaxed cell (GGA-PBE, Alexandria)
Kinematic intensities with the Lorentz-polarization factor, no thermal factor.

abc: 2.706 3.993 13.520
angles: 90.00 90.00 90.00
Space group Immm (No. 71)
Symmetry-distinct sites (fractional):
1 Cr 0.000 0.000 0.124 x4
2 H 0.000 0.500 0.446 x4
3 Rh 0.000 0.000 0.309 x4
4 Rh 0.000 0.500 0.000 x2

Top 12 peaks for 2θ from 5° to 70°, sorted by position:
2θ = 23.23°, I = 23.0, hkl 0 1 1
2θ = 38.82°, I = 27.6, hkl 1 0 3
2θ = 40.01°, I = 14.1, hkl 0 0 6
2θ = 40.28°, I = 100.0, hkl 0 1 5
2θ = 42.52°, I = 61.3, hkl 1 1 2
2θ = 45.42°, I = 32.9, hkl 0 2 0
2θ = 47.54°, I = 10.2, hkl 1 0 5
2θ = 48.77°, I = 21.7, hkl 1 1 4
2θ = 58.73°, I = 13.7, hkl 1 0 7
2θ = 61.25°, I = 14.8, hkl 1 2 3
2θ = 69.50°, I = 12.8, hkl 2 0 0
2θ = 69.70°, I = 9.1, hkl 1 1 8

=====

Please write out number 6 again, unchanged.
Calculated powder XRD pattern
Compound: InSb2Au6
Radiation: CuKα
Structure: a DFT-relaxed cell (GGA-PBE, Alexandria)
Kinematic intensities with the Lorentz-polarization factor, no thermal factor.

abc: 13.847 15.566 7.775
angles: 90.00 90.00 90.00
Space group Fdd2 (No. 43)
Symmetry-distinct sites (fractional):
1 In 0.000 0.000 0.000 x8
2 Sb 0.068 0.245 0.837 x16
3 Au 0.054 0.423 0.834 x16
4 Au 0.075 0.343 0.159 x16
5 Au 0.094 0.336 0.515 x16

Top 12 peaks for 2θ from 5° to 70°, sorted by position:
2θ = 21.57°, I = 27.6, hkl 1 3 1
2θ = 26.28°, I = 16.3, hkl 2 4 0
2θ = 28.22°, I = 100.0, hkl 4 2 0
2θ = 31.62°, I = 25.3, hkl 1 5 1
2θ = 35.72°, I = 60.4, hkl 1 1 3
2θ = 36.68°, I = 50.2, hkl 3 5 1
2θ = 40.33°, I = 51.3, hkl 3 1 3
2θ = 41.90°, I = 98.0, hkl 0 6 2
2θ = 42.80°, I = 19.6, hkl 1 7 1
2θ = 45.35°, I = 15.5, hkl 5 5 1
2θ = 48.46°, I = 16.0, hkl 5 1 3
2θ = 51.40°, I = 16.0, hkl 5 3 3

=====

What did the fourth record say?
Calculated powder XRD pattern
Compound: Tb6Dy3Sc
Radiation: CuKα
Structure: a DFT-relaxed cell (GGA-PBE, Alexandria)
Kinematic intensities with the Lorentz-polarization factor, no thermal factor.

abc: 10.878 18.886 6.157
angles: 90.00 90.00 90.00
Space group Cmc2_1 (No. 36)
Symmetry-distinct sites (fractional):
1 Tb 0.000 0.047 0.000 x4
2 Tb 0.000 0.277 0.723 x4
3 Tb 0.165 0.454 0.620 x8
4 Tb 0.240 0.289 0.435 x8
5 Dy 0.000 0.388 0.148 x4
6 Dy 0.165 0.111 0.536 x8
7 Sc 0.000 0.204 0.207 x4

Top 12 peaks for 2θ from 5° to 70°, sorted by position:
2θ = 28.39°, I = 21.0, hkl 3 3 0
2θ = 28.96°, I = 55.6, hkl 0 0 2
2θ = 30.54°, I = 22.2, hkl 0 2 2
2θ = 31.95°, I = 100.0, hkl 0 6 1
2θ = 33.44°, I = 9.1, hkl 2 0 2
2θ = 34.30°, I = 15.5, hkl 3 5 0
2θ = 34.80°, I = 24.8, hkl 2 2 2
2θ = 37.36°, I = 8.3, hkl 4 2 1
2θ = 50.26°, I = 14.8, hkl 3 9 0
2θ = 51.35°, I = 14.7, hkl 6 2 0
2θ = 59.09°, I = 11.9, hkl 6 0 2
2θ = 60.85°, I = 8.9, hkl 6 6 1

=====

- What is the formula in the eighth record?
  CsAcGeTe3